Entry 1:
# Mg14NiC
Computed X-ray powder pattern, Cu Kα (λ = 1.5418 Å). Input: a structure optimized by DFT (GGA-PBE).

Principal peaks in the range 10 to 90 degrees two-theta, low angle first:
2θ/deg  intensity
18.09  9
19.73  14
34.78  22
35.00  17
36.64  100
39.15  15
40.07  10
52.22  10

Cell and atoms:
```
Mg14NiC
1.0
9.2044 0.0000 0.0000
0.0000 3.5028 5.1595
0.0000 -3.5028 5.1595
Mg Ni C
14 1 1
Cartesian
0.0000 0.0000 0.0000 Mg
0.0000 0.0000 4.8588 Mg
0.0000 -1.5320 7.6952 Mg
0.0000 1.5320 7.6952 Mg
2.1908 0.0000 2.2270 Mg
2.4229 0.0000 6.7623 Mg
2.9968 -2.0437 4.4776 Mg
2.9968 2.0437 4.4776 Mg
4.6022 -1.9328 6.9846 Mg
4.6022 1.9328 6.9846 Mg
6.2076 -2.0437 4.4776 Mg
6.2076 2.0437 4.4776 Mg
6.7815 0.0000 6.7623 Mg
7.0136 0.0000 2.2270 Mg
4.6022 0.0000 5.0603 Ni
4.6022 0.0000 0.2165 C
```

***

Entry 2:
# MgC2O4
Computed X-ray powder pattern, Cu Kα (λ = 1.5418 Å). Input: a structure optimized by DFT (GGA-PBE).

Principal peaks in the range 10 to 90 degrees two-theta, low angle first:
2θ/deg  intensity
24.20  100
34.11  32
38.33  56
39.10  13
40.17  13
42.53  14
49.60  16
51.21  13

Cell and atoms:
```
MgC2O4
1.0
5.4272 0.0000 0.0000
0.0000 5.1199 0.0000
-3.1227 0.0000 5.2849
Mg C O
2 4 8
Cartesian
0.0000 0.0000 0.0000 Mg
-1.5613 2.5600 2.6424 Mg
-0.3777 0.6283 4.8309 C
1.1836 1.9316 2.1885 C
1.1209 3.1883 3.0964 C
2.6823 4.4916 0.4540 C
-1.4775 1.0514 4.3388 O
0.0839 1.5085 1.6964 O
-0.0144 3.6983 3.2752 O
1.5470 3.9816 0.6327 O
0.7576 1.1383 4.6521 O
2.3189 1.4216 2.0097 O
2.2207 3.6114 3.5885 O
3.7821 4.0685 0.9461 O
```

***

Entry 3:
# Mg5C4O18
Computed X-ray powder pattern, Cu Kα (λ = 1.5418 Å). Input: a structure optimized by DFT (GGA-PBE).

Principal peaks in the range 10 to 90 degrees two-theta, low angle first:
2θ/deg  intensity
13.64  59
15.09  100
21.15  23
26.52  28
30.39  38
30.52  27
35.25  21
41.56  26

Cell and atoms:
```
Mg5C4O18
1.0
10.0796 0.0000 0.0000
0.0000 9.1677 0.0000
-3.4389 0.0000 7.6678
Mg C O
10 8 36
Cartesian
0.0000 0.0000 0.0000 Mg
-1.7195 4.5839 3.8339 Mg
2.2741 0.6199 2.7455 Mg
0.5547 3.9640 6.5794 Mg
0.1130 0.5982 7.6025 Mg
1.8325 3.9857 3.7687 Mg
4.8082 5.1821 3.8991 Mg
6.5277 8.5695 0.0652 Mg
6.0860 5.2038 1.0884 Mg
4.3665 8.5478 4.9223 Mg
-1.8057 2.1354 5.9030 C
-0.0862 2.4484 2.0691 C
2.2698 1.5426 5.6534 C
3.9893 3.0412 1.8195 C
2.6514 6.1265 5.8483 C
4.3709 7.6251 2.0144 C
6.7269 6.7193 5.5986 C
8.4464 7.0323 1.7647 C
-2.5885 1.1345 6.1036 O
-0.3775 1.5898 1.1862 O
-2.0970 2.9941 5.0201 O
-0.8690 3.4494 2.2698 O
1.8192 0.0193 0.8461 O
0.0998 4.5645 4.6800 O
-0.7079 2.2372 6.6090 O
1.0116 2.3467 2.7751 O
-0.9923 5.3110 7.2832 O
0.7272 8.4406 3.4493 O
1.4282 5.6062 2.3897 O
-0.2913 8.1453 6.2236 O
3.6383 1.8184 1.6636 O
1.9188 2.7655 5.4975 O
2.9034 0.9161 4.7068 O
1.9779 0.9122 6.7567 O
4.6229 3.6678 0.8729 O
3.6974 3.6717 2.9228 O
2.9433 5.4961 4.7450 O
2.0178 5.4999 6.7949 O
4.6628 8.2555 0.9111 O
3.7373 8.2516 2.9610 O
4.7219 6.4022 2.1703 O
3.0024 7.3493 6.0042 O
6.9320 1.0224 1.4442 O
5.2125 3.5615 5.2780 O
5.9135 0.7272 4.2184 O
7.6330 3.8567 0.3845 O
5.6291 6.8211 4.8926 O
7.3486 6.9305 1.0587 O
6.5409 4.6032 2.9877 O
4.8215 9.1484 6.8216 O
7.5097 5.7184 5.3980 O
8.7377 6.1736 2.6477 O
7.0182 7.5779 6.4816 O
9.2292 8.0332 1.5641 O
```

***

Entry 4:
# Mg3C2O7
Computed X-ray powder pattern, Cu Kα (λ = 1.5418 Å). Input: a structure optimized by DFT (GGA-PBE).

Principal peaks in the range 10 to 90 degrees two-theta, low angle first:
2θ/deg  intensity
14.03  100
14.72  52
24.84  42
36.01  22
40.17  12
40.42  13
44.50  10
46.89  10

Cell and atoms:
```
Mg3C2O7
1.0
-4.4626 4.4626 4.0722
4.4626 -4.4626 4.0722
4.4626 4.4626 -4.0722
Mg C O
6 4 14
Cartesian
2.5234 0.0000 0.0000 Mg
6.4018 0.0000 0.0000 Mg
4.4626 0.0000 2.0361 Mg
0.0000 2.5234 0.0000 Mg
0.0000 6.4018 0.0000 Mg
0.0000 4.4626 2.0361 Mg
2.1342 -2.1342 2.2834 C
2.3284 2.3284 1.7888 C
-2.1342 2.1342 2.2834 C
2.1342 2.1342 5.8610 C
4.4626 0.0000 0.0000 O
5.4819 -1.8587 2.2296 O
2.7992 -2.7992 3.2090 O
2.6039 -1.0193 1.8426 O
1.6634 1.6634 0.8632 O
6.3213 1.0193 1.8426 O
3.4433 1.8587 2.2296 O
0.0000 4.4626 0.0000 O
-1.0193 2.6039 1.8426 O
1.8587 3.4433 2.2296 O
-2.7992 2.7992 3.2090 O
-1.8587 5.4819 2.2296 O
2.7992 2.7992 4.9354 O
1.0193 6.3213 1.8426 O
```

***

Entry 5:
# Mg5C4O18
Computed X-ray powder pattern, Cu Kα (λ = 1.5418 Å). Input: a structure optimized by DFT (GGA-PBE).

Principal peaks in the range 10 to 90 degrees two-theta, low angle first:
2θ/deg  intensity
13.60  50
15.10  100
21.09  23
26.50  22
30.46  79
32.83  17
41.48  39
46.44  18

Cell and atoms:
```
Mg5C4O18
1.0
4.2118 -9.3227 0.0000
4.2118 9.3227 0.0000
0.0000 0.0000 9.0927
Mg C O
10 8 36
Cartesian
0.0000 0.0000 0.0000 Mg
1.5465 3.2553 0.5699 Mg
2.6653 3.2553 3.9764 Mg
1.5465 -3.2553 8.5227 Mg
2.6653 -3.2553 5.1163 Mg
4.2118 0.0000 4.5463 Mg
5.7583 3.2553 3.9764 Mg
6.8771 3.2553 0.5699 Mg
5.7583 -3.2553 5.1163 Mg
6.8771 -3.2553 8.5227 Mg
2.1059 0.8082 2.2732 C
4.2118 4.9089 6.0824 C
4.2118 4.4138 1.5361 C
2.1059 -0.8082 6.8195 C
6.3177 0.8082 2.2732 C
4.2118 -4.4138 7.5566 C
4.2118 -4.9089 3.0103 C
6.3177 -0.8082 6.8195 C
1.5098 2.2431 5.4692 O
4.2118 7.3005 9.0913 O
3.0896 4.7163 5.4582 O
3.0896 4.6064 0.9119 O
2.1059 2.1080 2.2732 O
1.5064 0.1555 1.3626 O
1.5064 -0.1555 7.7301 O
2.7020 2.2431 8.1698 O
4.2118 5.2976 7.3066 O
4.2118 4.0251 2.7603 O
1.5098 -2.2431 3.6235 O
2.7054 0.1555 3.1838 O
2.7054 -0.1555 5.9089 O
2.1059 -2.1080 6.8195 O
5.3340 4.7163 5.4582 O
5.3340 4.6064 0.9119 O
4.2118 2.0222 4.5449 O
2.7020 -2.2431 0.9229 O
5.7216 2.2431 8.1698 O
4.2118 -2.0222 4.5478 O
3.0896 -4.6064 8.1808 O
3.0896 -4.7163 3.6345 O
6.3177 2.1080 2.2732 O
5.7182 0.1555 3.1838 O
5.7182 -0.1555 5.9089 O
6.9138 2.2431 5.4692 O
4.2118 -4.0251 6.3324 O
4.2118 -5.2976 1.7861 O
5.7216 -2.2431 0.9229 O
6.9172 0.1555 1.3626 O
6.9172 -0.1555 7.7301 O
6.3177 -2.1080 6.8195 O
5.3340 -4.6064 8.1808 O
5.3340 -4.7163 3.6345 O
4.2118 -7.3005 0.0014 O
6.9138 -2.2431 3.6235 O
```

***

Entry 6:
# Mg3CO4
Computed X-ray powder pattern, Cu Kα (λ = 1.5418 Å). Input: a structure optimized by DFT (GGA-PBE).

Principal peaks in the range 10 to 90 degrees two-theta, low angle first:
2θ/deg  intensity
21.16  6
30.10  5
37.09  4
43.09  100
48.48  3
62.57  54
75.03  4
78.99  16

Cell and atoms:
```
Mg3CO4
1.0
4.1987 0.0000 0.0000
0.0000 4.1987 0.0000
0.0000 0.0000 4.1987
Mg C O
3 1 4
Cartesian
0.0000 0.0000 2.0993 Mg
0.0000 2.0993 0.0000 Mg
2.0993 0.0000 0.0000 Mg
2.0993 2.0993 2.0993 C
0.0000 0.0000 0.0000 O
0.0000 2.0993 2.0993 O
2.0993 0.0000 2.0993 O
2.0993 2.0993 0.0000 O
```

***

Entry 7:
# RbMg14CO16
Computed X-ray powder pattern, Cu Kα (λ = 1.5418 Å). Input: a structure optimized by DFT (GGA-PBE).

Principal peaks in the range 10 to 90 degrees two-theta, low angle first:
2θ/deg  intensity
29.31  8
35.40  29
39.35  100
44.49  30
56.88  28
60.88  40
68.81  10
74.94  19

Cell and atoms:
```
RbMg14CO16
1.0
4.5803 0.0000 0.0000
0.0000 8.1462 0.0000
0.0000 0.0000 9.1550
Rb Mg C O
1 14 1 16
Cartesian
0.0000 0.0000 0.0000 Rb
0.0000 0.0000 4.5775 Mg
0.0000 2.0731 2.5146 Mg
0.0000 2.0731 6.6405 Mg
0.0000 4.0731 4.5775 Mg
0.0000 6.0731 2.5146 Mg
0.0000 6.0731 6.6405 Mg
2.2902 0.0000 2.3524 Mg
2.2902 0.0000 6.8026 Mg
2.2902 2.0500 4.5775 Mg
2.2902 2.1031 0.0000 Mg
2.2902 4.0731 2.2710 Mg
2.2902 4.0731 6.8840 Mg
2.2902 6.0431 0.0000 Mg
2.2902 6.0962 4.5775 Mg
0.0000 4.0731 0.0000 C
0.0000 0.0000 2.5581 O
0.0000 0.0000 6.5969 O
0.0000 2.0347 4.5775 O
0.0000 2.7768 0.0000 O
0.0000 4.0731 2.5558 O
0.0000 4.0731 6.5992 O
0.0000 5.3694 0.0000 O
0.0000 6.1116 4.5775 O
2.2902 0.0000 0.0000 O
2.2902 0.0000 4.5775 O
2.2902 2.0317 2.2438 O
2.2902 2.0317 6.9112 O
2.2902 4.0731 0.0000 O
2.2902 4.0731 4.5775 O
2.2902 6.1145 2.2438 O
2.2902 6.1145 6.9112 O
```